Diffraction record for ZnNi6Sn2. The X-ray diffraction stick pattern is theoretical, not measured: it uses a structure optimized by DFT (GGA-PBE) and Cu Kα (λ = 1.5418 Å).
No peak broadening, texture or thermal motion is included.

Crystal structure
```
data_ZnNi6Sn2
_cell_length_a 5.125
_cell_length_b 5.125
_cell_length_c 5.496
_cell_angle_alpha 90.08
_cell_angle_beta 90.08
_cell_angle_gamma 59.95
_space_group_name_H-M_alt 'P 1'
_space_group_IT_number 1
_space_group_name_Hall 'P 1'
loop_
_atom_site_label
_atom_site_type_symbol
_atom_site_fract_x
_atom_site_fract_y
_atom_site_fract_z
Zn1 Zn 0.000 0.000 0.000
Ni1 Ni 0.174 0.174 0.327
Ni2 Ni 0.174 0.651 0.327
Ni3 Ni 0.349 0.826 0.673
Ni4 Ni 0.651 0.174 0.327
Ni5 Ni 0.826 0.349 0.673
Ni6 Ni 0.826 0.826 0.673
Sn1 Sn 0.333 0.333 0.814
Sn2 Sn 0.667 0.667 0.186
```

Main lines, low angle first (10 to 90 degrees two-theta):
2θ 32.58, rel. 15
2θ 35.03, rel. 13
2θ 38.53, rel. 48
2θ 38.78, rel. 29
2θ 40.67, rel. 15
2θ 44.01, rel. 100
2θ 53.05, rel. 19
2θ 54.16, rel. 12
2θ 62.31, rel. 11
2θ 74.01, rel. 19